Entry 1:
Diffraction record for Nd2DyHoTm5. The XRD peak list is theoretical, not measured: it uses a cell relaxed with PBE and Cu Kα (λ = 1.5418 Å).

Main lines, by angle (15 to 90 degrees two-theta):
29.00°, intensity 43; 29.51°, intensity 53; 31.09°, intensity 100; 38.35°, intensity 14; 53.35°, intensity 24; 56.28°, intensity 13

Structural model:
abc: 9.849 9.849 9.849
angles: 128.47 128.47 75.86
Sites, in units of the cell vectors:
Nd  0.118  0.618  0.735
Nd  0.382  0.118  0.500
Nd  0.618  0.882  0.500
Nd  0.882  0.382  0.265
Dy  0.250  0.250  0.000
Dy  0.750  0.750  0.000
Ho  0.250  0.750  0.500
Ho  0.750  0.250  0.500
Tm  0.000  0.000  0.000
Tm  0.072  0.147  0.500
Tm  0.147  0.647  0.074
Tm  0.353  0.428  0.500
Tm  0.428  0.928  0.074
Tm  0.500  0.500  0.000
Tm  0.572  0.072  0.926
Tm  0.647  0.572  0.500
Tm  0.853  0.353  0.926
Tm  0.928  0.853  0.500

Entry 2:
Diffraction record for Nd2Dy4HoTm. The XRD peak list is theoretical, not measured: it uses a cell relaxed with PBE and Cu Kα (λ = 1.5418 Å).

Main lines, by angle (15 to 90 degrees two-theta):
26.86°, intensity 45; 30.31°, intensity 100; 40.93°, intensity 88; 53.84°, intensity 20; 61.17°, intensity 27; 64.41°, intensity 23

Structural model:
abc: 9.511 9.511 6.812
angles: 110.98 110.98 88.54
Sites, in units of the cell vectors:
Nd  0.000  0.000  0.000
Nd  0.000  0.000  0.500
Nd  0.000  0.500  0.000
Nd  0.500  0.000  0.500
Dy  0.253  0.257  0.505
Dy  0.253  0.742  0.499
Dy  0.257  0.253  0.005
Dy  0.258  0.747  0.001
Dy  0.742  0.253  0.999
Dy  0.743  0.747  0.995
Dy  0.747  0.258  0.501
Dy  0.747  0.743  0.495
Ho  0.000  0.500  0.500
Ho  0.500  0.000  0.000
Tm  0.500  0.500  0.000
Tm  0.500  0.500  0.500

Entry 3:
Diffraction record for NdDy2Ho2Tm. The XRD peak list is theoretical, not measured: it uses a cell relaxed with PBE and Cu Kα (λ = 1.5418 Å).

Main lines, by angle (15 to 90 degrees two-theta):
31.73°, intensity 100; 31.85°, intensity 75; 32.02°, intensity 37; 45.68°, intensity 24; 56.94°, intensity 27; 63.07°, intensity 21

Structural model:
abc: 6.925 9.751 5.590
angles: 90.00 90.00 90.00
Sites, in units of the cell vectors:
Nd  0.000  0.000  0.000
Nd  0.500  0.500  0.500
Dy  0.248  0.333  0.000
Dy  0.252  0.833  0.500
Dy  0.748  0.167  0.500
Dy  0.752  0.667  0.000
Ho  0.249  0.667  0.000
Ho  0.251  0.167  0.500
Ho  0.749  0.833  0.500
Ho  0.751  0.333  0.000
Tm  0.000  0.500  0.500
Tm  0.500  0.000  0.000

Entry 4:
Diffraction record for NdDy2Ho2Tm2. The XRD peak list is theoretical, not measured: it uses a cell relaxed with PBE and Cu Kα (λ = 1.5418 Å).

Main lines, by angle (15 to 90 degrees two-theta):
30.95°, intensity 100; 35.85°, intensity 34; 35.95°, intensity 17; 51.64°, intensity 30; 61.40°, intensity 29; 61.53°, intensity 14

Structural model:
abc: 6.121 6.121 7.922
angles: 97.45 97.45 48.32
Sites, in units of the cell vectors:
Nd  0.000  0.000  0.000
Dy  0.143  0.143  0.430
Dy  0.857  0.857  0.570
Ho  0.428  0.428  0.286
Ho  0.572  0.572  0.714
Tm  0.286  0.286  0.856
Tm  0.714  0.714  0.144

Entry 5:
Diffraction record for Nd5DyHo2Tm. The XRD peak list is theoretical, not measured: it uses a cell relaxed with PBE and Cu Kα (λ = 1.5418 Å).

Main lines, by angle (15 to 90 degrees two-theta):
27.50°, intensity 10; 29.97°, intensity 22; 31.81°, intensity 100; 33.49°, intensity 10; 55.57°, intensity 9; 56.66°, intensity 17

Structural model:
abc: 10.590 10.590 10.704
angles: 90.00 90.00 149.17
Sites, in units of the cell vectors:
Nd  0.016  0.984  0.500
Nd  0.116  0.884  0.776
Nd  0.203  0.797  0.463
Nd  0.221  0.779  0.068
Nd  0.484  0.516  0.772
Nd  0.516  0.484  0.272
Nd  0.779  0.221  0.568
Nd  0.797  0.203  0.963
Nd  0.884  0.116  0.276
Nd  0.984  0.016  0.000
Dy  0.301  0.699  0.767
Dy  0.699  0.301  0.267
Ho  0.386  0.614  0.063
Ho  0.388  0.612  0.495
Ho  0.612  0.388  0.995
Ho  0.614  0.386  0.563
Tm  0.093  0.907  0.221
Tm  0.907  0.093  0.721

Entry 6:
Diffraction record for Nd6Dy3Y2Ho. The XRD peak list is theoretical, not measured: it uses a cell relaxed with PBE and Cu Kα (λ = 1.5418 Å).

Main lines, by angle (15 to 90 degrees two-theta):
30.23°, intensity 100; 30.60°, intensity 32; 35.15°, intensity 67; 50.32°, intensity 24; 50.81°, intensity 23; 60.06°, intensity 19

Structural model:
abc: 6.281 6.281 11.872
angles: 95.04 95.04 120.00
Sites, in units of the cell vectors:
Nd  0.084  0.416  0.750
Nd  0.249  0.249  0.249
Nd  0.416  0.084  0.750
Nd  0.584  0.916  0.250
Nd  0.751  0.751  0.751
Nd  0.916  0.584  0.250
Dy  0.167  0.833  0.000
Dy  0.500  0.500  0.000
Dy  0.833  0.167  0.000
Y  0.333  0.667  0.500
Y  0.667  0.333  0.500
Ho  0.000  0.000  0.500

Entry 7:
Diffraction record for Nd2DyY4Ho2. The XRD peak list is theoretical, not measured: it uses a cell relaxed with PBE and Cu Kα (λ = 1.5418 Å).

Main lines, by angle (15 to 90 degrees two-theta):
29.78°, intensity 40; 31.31°, intensity 57; 31.57°, intensity 100; 32.11°, intensity 45; 32.22°, intensity 50; 47.57°, intensity 16

Structural model:
abc: 6.006 6.641 8.648
angles: 80.39 70.52 65.27
Sites, in units of the cell vectors:
Nd  0.229  0.320  0.343
Nd  0.771  0.680  0.657
Dy  0.500  0.000  0.000
Y  0.113  0.129  0.762
Y  0.245  0.575  0.886
Y  0.755  0.425  0.114
Y  0.887  0.871  0.238
Ho  0.323  0.767  0.446
Ho  0.677  0.233  0.554

Entry 8:
Diffraction record for DyHo3Ni3. The XRD peak list is theoretical, not measured: it uses a cell relaxed with PBE and Cu Kα (λ = 1.5418 Å).

Main lines, by angle (15 to 90 degrees two-theta):
26.76°, intensity 66; 29.32°, intensity 50; 33.57°, intensity 61; 35.95°, intensity 61; 37.48°, intensity 100; 39.40°, intensity 58

Structural model:
abc: 6.705 6.705 6.785
angles: 90.96 90.96 96.35
Sites, in units of the cell vectors:
Dy  0.243  0.243  0.378
Dy  0.757  0.757  0.622
Ho  0.164  0.164  0.874
Ho  0.251  0.749  0.500
Ho  0.323  0.677  0.000
Ho  0.677  0.323  0.000
Ho  0.749  0.251  0.500
Ho  0.836  0.836  0.126
Ni  0.004  0.515  0.790
Ni  0.442  0.442  0.687
Ni  0.485  0.996  0.210
Ni  0.515  0.004  0.790
Ni  0.558  0.558  0.313
Ni  0.996  0.485  0.210

Entry 9:
Diffraction record for Dy2Ho3Ni2. The XRD peak list is theoretical, not measured: it uses a cell relaxed with PBE and Cu Kα (λ = 1.5418 Å).

Main lines, by angle (15 to 90 degrees two-theta):
29.79°, intensity 31; 30.06°, intensity 39; 32.04°, intensity 45; 33.40°, intensity 100; 35.33°, intensity 59; 50.86°, intensity 29

Structural model:
abc: 6.304 6.304 8.928
angles: 115.44 115.44 33.09
Sites, in units of the cell vectors:
Dy  0.166  0.166  0.311
Dy  0.834  0.834  0.689
Ho  0.384  0.384  0.066
Ho  0.500  0.500  0.500
Ho  0.616  0.616  0.934
Ni  0.173  0.173  0.739
Ni  0.827  0.827  0.261

Entry 10:
Diffraction record for DyHo6Ni3. The XRD peak list is theoretical, not measured: it uses a cell relaxed with PBE and Cu Kα (λ = 1.5418 Å).

Main lines, by angle (15 to 90 degrees two-theta):
30.29°, intensity 48; 30.46°, intensity 78; 32.21°, intensity 58; 33.38°, intensity 56; 34.71°, intensity 100; 36.25°, intensity 73

Structural model:
abc: 8.457 8.457 7.016
angles: 90.00 90.00 99.63
Sites, in units of the cell vectors:
Dy  0.180  0.820  0.500
Dy  0.820  0.180  0.000
Ho  0.081  0.465  0.271
Ho  0.130  0.204  0.623
Ho  0.204  0.130  0.123
Ho  0.274  0.726  0.962
Ho  0.465  0.081  0.771
Ho  0.468  0.532  0.616
Ho  0.532  0.468  0.116
Ho  0.535  0.919  0.271
Ho  0.726  0.274  0.462
Ho  0.796  0.870  0.623
Ho  0.870  0.796  0.123
Ho  0.919  0.535  0.771
Ni  0.083  0.917  0.831
Ni  0.199  0.412  0.906
Ni  0.412  0.199  0.406
Ni  0.588  0.801  0.906
Ni  0.801  0.588  0.406
Ni  0.917  0.083  0.331

Entry 11:
Diffraction record for DyHoNp. The XRD peak list is theoretical, not measured: it uses a cell relaxed with PBE and Cu Kα (λ = 1.5418 Å).

Main lines, by angle (15 to 90 degrees two-theta):
28.98°, intensity 23; 32.52°, intensity 100; 33.46°, intensity 42; 35.39°, intensity 64; 41.80°, intensity 23; 56.42°, intensity 27

Structural model:
abc: 8.597 8.597 5.751
angles: 100.28 100.28 23.80
Sites, in units of the cell vectors:
Dy  0.066  0.066  0.291
Dy  0.934  0.934  0.709
Ho  0.378  0.378  0.181
Ho  0.622  0.622  0.819
Np  0.262  0.262  0.641
Np  0.738  0.738  0.359

Entry 12:
Diffraction record for DyHoO3. The XRD peak list is theoretical, not measured: it uses a cell relaxed with PBE and Cu Kα (λ = 1.5418 Å).

Main lines, by angle (15 to 90 degrees two-theta):
28.07°, intensity 46; 28.71°, intensity 66; 31.24°, intensity 100; 49.22°, intensity 41; 51.70°, intensity 27; 57.62°, intensity 38

Structural model:
abc: 6.413 6.413 12.717
angles: 90.00 90.00 120.00
Sites, in units of the cell vectors:
Dy  0.000  0.000  0.000
Dy  0.000  0.000  0.500
Dy  0.333  0.667  0.466
Dy  0.333  0.667  0.966
Dy  0.667  0.333  0.466
Dy  0.667  0.333  0.966
Ho  0.000  0.333  0.231
Ho  0.000  0.667  0.731
Ho  0.333  0.000  0.231
Ho  0.333  0.333  0.731
Ho  0.667  0.000  0.731
Ho  0.667  0.667  0.231
O  0.000  0.000  0.196
O  0.000  0.000  0.696
O  0.000  0.304  0.405
O  0.000  0.366  0.060
O  0.000  0.634  0.560
O  0.000  0.696  0.905
O  0.304  0.000  0.405
O  0.304  0.304  0.905
O  0.333  0.667  0.260
O  0.333  0.667  0.760
O  0.366  0.000  0.060
O  0.366  0.366  0.560
O  0.634  0.000  0.560
O  0.634  0.634  0.060
O  0.667  0.333  0.260
O  0.667  0.333  0.760
O  0.696  0.000  0.905
O  0.696  0.696  0.405